This entry pairs a crystal structure of LiV2Si2O8 with its simulated powder diffraction line list. Radiation: Cu Ka. Structure: a structure optimized by DFT (GGA+U).

Structure:
Cell lengths 5.731, 5.848, 7.978 Å; angles 90.00, 90.00, 90.00 degrees
Fractional positions:
Li (0.000, 0.168, 0.250)
Li (0.000, 0.832, 0.750)
V (0.219, 0.500, 0.500)
V (0.500, 0.214, 0.250)
V (0.500, 0.786, 0.750)
V (0.781, 0.500, 0.000)
Si (0.261, 0.266, 0.877)
Si (0.261, 0.734, 0.123)
Si (0.739, 0.266, 0.623)
Si (0.739, 0.734, 0.377)
O (0.017, 0.278, 0.991)
O (0.017, 0.722, 0.009)
O (0.261, 0.496, 0.746)
O (0.261, 0.504, 0.254)
O (0.263, 0.027, 0.777)
O (0.263, 0.973, 0.223)
O (0.497, 0.279, 0.003)
O (0.497, 0.721, 0.997)
O (0.503, 0.279, 0.497)
O (0.503, 0.721, 0.503)
O (0.737, 0.027, 0.723)
O (0.737, 0.973, 0.277)
O (0.739, 0.496, 0.754)
O (0.739, 0.504, 0.246)
O (0.983, 0.278, 0.509)
O (0.983, 0.722, 0.491)

Peak list (10 most intense, 15 to 90 degrees two-theta, in order of rising 2θ)
2θ = 15.15°, d = 5.848 Å, intensity 55.6, hkl 0 1 0; 2θ = 15.46°, d = 5.731 Å, intensity 34.3, hkl 1 0 0; 2θ = 24.44°, d = 3.642 Å, intensity 100.0, hkl 1 1 1; 2θ = 27.06°, d = 3.295 Å, intensity 46.4, hkl 0 1 2; 2θ = 31.30°, d = 2.858 Å, intensity 46.7, hkl 1 1 2; 2θ = 36.28°, d = 2.476 Å, intensity 61.1, hkl 1 2 1; 2θ = 36.70°, d = 2.449 Å, intensity 71.3, hkl 2 1 1; 2θ = 37.28°, d = 2.412 Å, intensity 32.5, hkl 1 0 3; 2θ = 44.26°, d = 2.047 Å, intensity 50.7, hkl 2 2 0; 2θ = 65.33°, d = 1.428 Å, intensity 71.0, hkl 2 2 4